The following is a theoretical powder diffraction line list of Fe2SiS4. It was derived from a cell relaxed with GGA-PBE, using λ = 1.5418 Å (Cu Kα).
Peak positions follow from Bragg's law for the DFT cell and can differ from measured ones.

Principal peaks in the range 2θ = 10–90°, by angle:
2θ (°), Rel. int.
15.5, 40
30.0, 86
36.4, 99
47.9, 32
52.4, 100
88.6, 26

Unit cell a=9.877 b=9.877 c=9.877 alpha=90.00 beta=90.00 gamma=90.00
Space group Fd-3m (No. 227, origin choice 2)
One atom of each set of equivalent atoms:
Fe 0.000 0.000 0.000 [16 per cell]
Si 0.125 0.125 0.625 [8 per cell]
S 0.003 0.003 0.247 [32 per cell]